This entry pairs a crystal structure of Ti4ZnO6 with its theoretical X-ray powder pattern. Radiation: Cu Kα (λ = 1.5418 Å). Structure: a GGA-PBE-relaxed structure.

Structure:
```
Ti4ZnO6
1.0
1.475 -4.942 0.000
1.475 4.942 0.000
0.000 0.000 15.102
Ti Zn O
8 2 12
Cartesian
1.475 3.967 9.510
1.475 3.967 13.143
1.475 1.449 8.151
1.475 1.449 14.502
1.475 -1.449 0.600
1.475 -1.449 6.951
1.475 -3.967 1.959
1.475 -3.967 5.592
1.475 3.392 3.775
1.475 -3.392 11.326
0.000 0.000 0.000
0.000 0.000 7.551
1.475 3.060 11.326
1.475 2.314 1.418
1.475 2.314 6.133
1.475 0.413 9.958
1.475 0.413 12.695
1.475 -0.413 2.407
1.475 -0.413 5.144
1.475 -2.314 8.969
1.475 -2.314 13.684
1.475 -3.060 3.775
```

The 12 most intense peaks (2θ = 10–90°), by angle:
33.9 deg, I 276
34.8 deg, I 957
36.4 deg, I 655
40.2 deg, I 219
41.5 deg, I 242
42.9 deg, I 1000
45.0 deg, I 415
58.8 deg, I 254
59.2 deg, I 212
61.4 deg, I 271
61.6 deg, I 201
63.0 deg, I 228